Diffraction record for Ba2InSbTe5. The powder diffractogram is theoretical, not measured: it uses a GGA-PBE-relaxed structure and CuKα.
Intensities are scaled so that the largest is 100.

Structure:
Cell: 14.069 4.647 20.675 Å, 90.00 90.00 90.00°
Space group Pnma (No. 62)
Symmetry-distinct sites (fractional):
Ba 0.050 0.250 0.134 x4
Ba 0.073 0.750 0.625 x4
In 0.178 0.750 0.318 x4
Sb 0.231 0.750 0.966 x4
Te 0.001 0.750 0.256 x4
Te 0.091 0.250 0.964 x4
Te 0.105 0.750 0.449 x4
Te 0.208 0.750 0.794 x4
Te 0.240 0.750 0.105 x4

Peak list (10 most intense, 2θ = 5–70°, in order of rising 2θ)
hkl	Position (°2θ)	d_spacing	I_rel
3 0 4	25.65	3.473	15
2 1 3	26.37	3.379	23
1 0 6	26.63	3.347	58
3 1 1	27.36	3.260	100
0 1 5	28.90	3.089	14
2 1 5	31.63	2.828	52
6 0 0	38.35	2.347	15
0 2 0	38.76	2.323	36
4 1 7	44.55	2.034	23
1 2 6	47.65	1.908	24



Diffraction record for BaEr2S4. The powder diffractogram is theoretical, not measured: it uses a GGA-PBE-relaxed structure and CuKα.
Intensities are scaled so that the largest is 100.

Structure:
Cell: 12.255 4.021 14.477 Å, 90.00 90.00 90.00°
Space group Pnma (No. 62)
Symmetry-distinct sites (fractional):
Ba 0.242 0.250 0.163 x4
Er 0.066 0.250 0.392 x4
Er 0.079 0.250 0.899 x4
S 0.023 0.750 0.783 x4
S 0.081 0.250 0.576 x4
S 0.124 0.750 0.023 x4
S 0.207 0.750 0.338 x4

Peak list (10 most intense, 2θ = 5–70°, in order of rising 2θ)
hkl	Position (°2θ)	d_spacing	I_rel
0 0 4	24.60	3.619	44
3 0 2	25.03	3.558	100
1 1 2	26.38	3.379	72
2 1 0	26.51	3.362	36
1 1 3	29.83	2.996	32
2 1 4	36.48	2.463	50
4 1 0	36.88	2.437	28
6 0 0	44.38	2.041	31
0 2 0	45.09	2.011	45
3 2 2	52.26	1.750	28